Record 1
The following is a calculated PXRD pattern of MnZnAu3. It was derived from a PBE-relaxed structure, using CuKα.

Most intense lines, 10° ≤ 2θ ≤ 90°, by angle:
2θ = 27.22°, rel. 58, (-1 1 1); 2θ = 37.67°, rel. 50, (0 2 1); 2θ = 38.09°, rel. 64, (2 0 0); 2θ = 40.54°, rel. 100, (1 1 -2); 2θ = 40.72°, rel. 96, (1 1 3); 2θ = 42.41°, rel. 24, (1 2 1); 2θ = 54.65°, rel. 34, (2 2 1); 2θ = 70.48°, rel. 20, (3 -1 2); 2θ = 70.61°, rel. 19, (3 1 3); 2θ = 75.86°, rel. 21, (2 0 5)

Atomic structure:
Cell lengths 4.725, 4.776, 7.761 Å; angles 72.42, 89.98, 89.99 degrees
Space group P-1 (No. 2)
Symmetry-distinct sites (fractional):
Mn: 0.250 0.107 0.200 [2 per cell]
Zn: 0.250 0.304 0.799 [2 per cell]
Au: 0.250 0.516 0.386 [2 per cell]
Au: 0.250 0.710 0.998 [2 per cell]
Au: 0.250 0.905 0.609 [2 per cell]



Record 2
The following is a calculated PXRD pattern of CaLaBiO. It was derived from a PBE-relaxed structure, using CuKα.

Most intense lines, 10° ≤ 2θ ≤ 90°, by angle:
2θ = 20.94°, rel. 68, (1 0 1); 2θ = 28.07°, rel. 65, (1 1 1); 2θ = 29.57°, rel. 40, (0 0 3); 2θ = 32.97°, rel. 100, (1 1 2); 2θ = 37.47°, rel. 58, (2 0 0); 2θ = 43.31°, rel. 23, (2 1 1); 2θ = 48.44°, rel. 41, (2 0 3); 2θ = 57.66°, rel. 28, (1 1 5); 2θ = 64.76°, rel. 36, (3 1 2); 2θ = 82.98°, rel. 20, (3 1 5)

Atomic structure:
Cell lengths 4.800, 4.800, 9.062 Å; angles 90.00, 90.00, 90.00 degrees
Space group P4/nmm (No. 129, origin choice 2)
Symmetry-distinct sites (fractional):
Ca: 0.250 0.250 0.163 [2 per cell]
La: 0.250 0.750 0.500 [2 per cell]
Bi: 0.250 0.250 0.799 [2 per cell]
O: 0.250 0.250 0.421 [2 per cell]



Record 3
The following is a calculated PXRD pattern of LiTlI2. It was derived from a PBE-relaxed structure, using CuKα.

Most intense lines, 10° ≤ 2θ ≤ 90°, by angle:
2θ = 21.45°, rel. 25, (0 0 3); 2θ = 25.26°, rel. 100, (1 -1 0); 2θ = 27.56°, rel. 20, (0 1 3); 2θ = 28.43°, rel. 19, (1 0 -3); 2θ = 28.73°, rel. 24, (0 0 4); 2θ = 33.37°, rel. 34, (1 1 3); 2θ = 34.61°, rel. 18, (0 2 0); 2θ = 37.40°, rel. 19, (2 0 0); 2θ = 38.62°, rel. 41, (-1 1 4); 2θ = 47.83°, rel. 13, (2 0 -4)

Atomic structure:
Cell lengths 4.809, 5.184, 12.430 Å; angles 90.00, 89.94, 90.00 degrees
Space group P1 (No. 1)
Symmetry-distinct sites (fractional):
Li: 0.000 0.000 0.000 [1 per cell]
Li: 0.499 0.500 0.218 [1 per cell]
Tl: 0.499 0.639 0.744 [1 per cell]
Tl: 0.997 0.139 0.474 [1 per cell]
I: 0.000 0.148 0.775 [1 per cell]
I: 0.497 0.648 0.443 [1 per cell]
I: 0.500 0.723 0.011 [1 per cell]
I: 0.999 0.223 0.207 [1 per cell]



Record 4
The following is a calculated PXRD pattern of Hf3Al5. It was derived from a PBE-relaxed structure, using CuKα.

Most intense lines, 10° ≤ 2θ ≤ 90°, by angle:
2θ = 18.74°, rel. 27, (1 1 1); 2θ = 25.18°, rel. 79, (0 2 0); 2θ = 28.00°, rel. 100, (2 0 2); 2θ = 31.90°, rel. 49, (0 2 2); 2θ = 32.42°, rel. 30, (2 2 0); 2θ = 32.94°, rel. 50, (3 1 0); 2θ = 38.00°, rel. 85, (2 2 2); 2θ = 39.16°, rel. 47, (0 0 4); 2θ = 40.84°, rel. 30, (4 0 0); 2θ = 57.36°, rel. 30, (5 1 2)

Atomic structure:
Cell lengths 8.835, 7.078, 9.202 Å; angles 90.00, 90.00, 90.00 degrees
Space group Cmcm (No. 63)
Symmetry-distinct sites (fractional):
Hf: 0.000 0.125 0.250 [4 per cell]
Hf: 0.208 0.500 0.000 [8 per cell]
Al: 0.000 0.186 0.549 [8 per cell]
Al: 0.000 0.488 0.750 [4 per cell]
Al: 0.211 0.211 0.750 [8 per cell]



Record 5
The following is a calculated PXRD pattern of Li17NdMg. It was derived from a PBE-relaxed structure, using CuKα.

Most intense lines, 10° ≤ 2θ ≤ 90°, by angle:
2θ = 12.19°, rel. 100, (1 0 1); 2θ = 15.86°, rel. 64, (0 1 2); 2θ = 17.55°, rel. 24, (0 0 3); 2θ = 18.58°, rel. 63, (1 1 0); 2θ = 22.28°, rel. 29, (0 2 1); 2θ = 25.66°, rel. 65, (1 1 3); 2θ = 29.16°, rel. 29, (2 1 1); 2θ = 30.94°, rel. 29, (1 2 2); 2θ = 32.47°, rel. 24, (3 0 0); 2θ = 37.14°, rel. 43, (3 0 3)

Atomic structure:
Cell lengths 9.5519, 9.5519, 15.1626 Å; angles 90.00, 90.00, 120.00 degrees
Space group R3m (No. 160, hexagonal axes)
Symmetry-distinct sites (fractional):
Li: 0.0000 0.0000 0.0527 [3 per cell]
Li: 0.0000 0.0000 0.2327 [3 per cell]
Li: 0.0305 0.3550 0.8126 [18 per cell]
Li: 0.1875 0.3750 0.9866 [9 per cell]
Li: 0.1923 0.3847 0.6223 [9 per cell]
Li: 0.2062 0.4125 0.3333 [9 per cell]
Nd: 0.0000 0.0000 0.4841 [3 per cell]
Mg: 0.0000 0.0000 0.8244 [3 per cell]



Record 6
The following is a calculated PXRD pattern of PmSm2Hg3. It was derived from a PBE-relaxed structure, using CuKα.

Most intense lines, 10° ≤ 2θ ≤ 90°, by angle:
2θ = 23.40°, rel. 2, (1 0 0); 2θ = 33.33°, rel. 100, (1 1 0); 2θ = 41.12°, rel. 1, (1 1 3); 2θ = 47.85°, rel. 18, (2 0 0); 2θ = 53.92°, rel. 1, (2 1 0); 2θ = 59.56°, rel. 38, (2 1 3); 2θ = 69.98°, rel. 12, (2 2 0); 2θ = 74.93°, rel. 1, (3 0 0); 2θ = 79.76°, rel. 17, (3 1 0); 2θ = 89.23°, rel. 4, (2 2 6)

Atomic structure:
Cell lengths 3.804, 3.804, 11.400 Å; angles 90.00, 90.00, 90.00 degrees
Space group P4/mmm (No. 123)
Symmetry-distinct sites (fractional):
Pm: 0.000 0.000 0.000 [1 per cell]
Sm: 0.000 0.000 0.334 [2 per cell]
Hg: 0.500 0.500 0.169 [2 per cell]
Hg: 0.500 0.500 0.500 [1 per cell]